This entry pairs a crystal structure of Mg3Ru2 with its computed powder diffractogram. Radiation: Cu Ka. Structure: a DFT-relaxed cell (PBE, Alexandria).
Peak positions follow from Bragg's law for the DFT cell and can differ from measured ones.

Top 8 peaks for 2θ from 15° to 90°, in order of rising 2θ:
| 2theta | I (rel.) |
| --- | --- |
| 18.0 | 95 |
| 22.1 | 39 |
| 38.8 | 100 |
| 41.0 | 66 |
| 49.0 | 42 |
| 54.4 | 29 |
| 68.8 | 32 |
| 73.3 | 32 |

Cell and atoms:
Cell lengths 6.9586, 6.9586, 6.9586 Å; angles 90.00, 90.00, 90.00 degrees
Space group P4_132 (No. 213)
Asymmetric unit:
Mg (0.0441, 0.1250, 0.7941)
Ru (0.0749, 0.9251, 0.4251)



This entry pairs a crystal structure of MgRu2 with its computed powder diffractogram. Radiation: Cu Ka. Structure: a DFT-relaxed cell (PBE, Alexandria).
Peak positions follow from Bragg's law for the DFT cell and can differ from measured ones.

Top 8 peaks for 2θ from 15° to 90°, in order of rising 2θ:
| 2theta | I (rel.) |
| --- | --- |
| 23.9 | 40 |
| 40.8 | 100 |
| 42.0 | 78 |
| 60.0 | 31 |
| 73.4 | 14 |
| 76.0 | 31 |
| 76.8 | 13 |
| 88.4 | 9 |

Cell and atoms:
Cell lengths 4.2994, 4.2994, 2.7506 Å; angles 90.00, 90.00, 120.00 degrees
Space group P-3m1 (No. 164)
Asymmetric unit:
Mg (0.0000, 0.0000, 0.0000)
Ru (0.3333, 0.6667, 0.6870)



This entry pairs a crystal structure of MgRu2 with its computed powder diffractogram. Radiation: Cu Ka. Structure: a DFT-relaxed cell (PBE, Alexandria).
Peak positions follow from Bragg's law for the DFT cell and can differ from measured ones.

Top 8 peaks for 2θ from 15° to 90°, in order of rising 2θ:
| 2theta | I (rel.) |
| --- | --- |
| 23.7 | 38 |
| 39.2 | 19 |
| 40.3 | 33 |
| 42.1 | 100 |
| 44.3 | 20 |
| 57.5 | 12 |
| 74.6 | 18 |
| 83.5 | 10 |

Cell and atoms:
Cell lengths 2.8838, 13.8024, 4.4706 Å; angles 90.00, 90.00, 90.00 degrees
Space group Cmcm (No. 63)
Asymmetric unit:
Mg (0.0000, 0.0988, 0.2500)
Ru (0.0000, 0.2247, 0.7500)
Ru (0.0000, 0.4299, 0.2500)



This entry pairs a crystal structure of Mg7Ru6 with its computed powder diffractogram. Radiation: Cu Ka. Structure: a DFT-relaxed cell (PBE, Alexandria).
Peak positions follow from Bragg's law for the DFT cell and can differ from measured ones.

Top 8 peaks for 2θ from 15° to 90°, in order of rising 2θ:
| 2theta | I (rel.) |
| --- | --- |
| 19.9 | 28 |
| 34.3 | 100 |
| 39.3 | 44 |
| 40.0 | 75 |
| 42.4 | 52 |
| 64.8 | 19 |
| 67.0 | 26 |
| 72.2 | 19 |

Cell and atoms:
Cell lengths 5.2306, 5.2306, 26.5921 Å; angles 90.00, 90.00, 120.00 degrees
Space group R-3m (No. 166, hexagonal axes)
Asymmetric unit:
Mg (0.0000, 0.0000, 0.0000)
Mg (0.0061, 0.5030, 0.4156)
Ru (0.0000, 0.0000, 0.1668)
Ru (0.0000, 0.0000, 0.3589)
Ru (0.0000, 0.0000, 0.4562)